Entry 1:
HoB4Os: simulated powder XRD pattern (Cu Kα, 1.54184 Å), based on the GGA-PBE geometry in Alexandria.
Neutral-atom scattering factors, no anomalous dispersion.

Atomic structure:
```
data_HoB4Os
_chemical_formula_sum 'Ho4 B16 Os4'
_cell_length_a 5.960
_cell_length_b 11.524
_cell_length_c 3.563
_cell_angle_alpha 90.00
_cell_angle_beta 90.00
_cell_angle_gamma 90.00
_space_group_name_H-M_alt 'P b a m'
_space_group_IT_number 55
loop_
_space_group_symop_operation_xyz
'x,y,z'
'-x,-y,-z'
'-x,-y,z'
'x,y,-z'
'x+1/2,-y+1/2,-z'
'-x+1/2,y+1/2,z'
'-x+1/2,y+1/2,-z'
'x+1/2,-y+1/2,z'
loop_
_atom_site_label
_atom_site_fract_x
_atom_site_fract_y
_atom_site_fract_z
_atom_site_occupancy
Ho1 0.128 0.150 0.000 1
B1 0.025 0.692 0.500 1
B2 0.113 0.547 0.500 1
B3 0.136 0.970 0.500 1
B4 0.211 0.814 0.500 1
Os1 0.142 0.406 0.000 1
```

Top 12 peaks for 2θ from 10° to 90°, in order of falling intensity:
| index | Position (°2θ) | intensity |
| --- | --- | --- |
| 0 4 1 | 40.2 | 1000 |
| 0 0 1 | 25.0 | 882 |
| 0 4 0 | 31.0 | 859 |
| 2 3 1 | 46.2 | 396 |
| 2 3 0 | 38.2 | 296 |
| 1 4 1 | 43.1 | 275 |
| 0 4 2 | 61.2 | 258 |
| 1 4 0 | 34.6 | 215 |
| 0 0 2 | 51.3 | 185 |
| 1 8 1 | 72.5 | 126 |
| 2 3 2 | 65.7 | 124 |
| 4 0 1 | 68.2 | 121 |

***

Entry 2:
ZrTa2Te: simulated powder XRD pattern (Cu Kα, 1.54184 Å), based on the GGA-PBE geometry in Alexandria.
Neutral-atom scattering factors, no anomalous dispersion.

Atomic structure:
```
data_ZrTa2Te
_chemical_formula_sum 'Zr3 Ta6 Te3'
_cell_length_a 3.3956
_cell_length_b 3.3956
_cell_length_c 25.8742
_cell_angle_alpha 90.00
_cell_angle_beta 90.00
_cell_angle_gamma 120.00
_space_group_name_H-M_alt 'R 3 m'
_space_group_IT_number 160
_space_group_name_Hall 'R 3 -2"'
loop_
_atom_site_label
_atom_site_fract_x
_atom_site_fract_y
_atom_site_fract_z
_atom_site_occupancy
Zr1 0.0000 0.0000 0.0000 1
Ta1 0.0000 0.0000 0.4959 1
Ta2 0.0000 0.0000 0.7528 1
Te1 0.0000 0.0000 0.2439 1
```

Top 12 peaks for 2θ from 10° to 90°, in order of falling intensity:
| index | Position (°2θ) | intensity |
| --- | --- | --- |
| 1 0 4 | 33.5 | 1000 |
| 0 1 8 | 41.5 | 540 |
| 1 1 0 | 54.0 | 259 |
| 0 0 3 | 10.3 | 244 |
| 1 1 12 | 70.6 | 215 |
| 0 0 12 | 41.9 | 168 |
| 0 2 4 | 65.1 | 146 |
| 2 1 4 | 89.5 | 128 |
| 1 0 16 | 65.9 | 124 |
| 2 0 8 | 70.3 | 113 |
| 0 1 20 | 81.2 | 64 |
| 1 0 7 | 39.1 | 54 |

***

Entry 3:
MnSnIrS: simulated powder XRD pattern (Cu Kα, 1.54184 Å), based on the GGA-PBE geometry in Alexandria.
Neutral-atom scattering factors, no anomalous dispersion.

Atomic structure:
```
data_MnSnIrS
_chemical_formula_sum 'Mn1 Sn1 Ir1 S1'
_cell_length_a 3.235
_cell_length_b 3.365
_cell_length_c 6.185
_cell_angle_alpha 90.00
_cell_angle_beta 90.00
_cell_angle_gamma 90.00
_space_group_name_H-M_alt 'P m m 2'
_space_group_IT_number 25
loop_
_space_group_symop_operation_xyz
'x,y,z'
'-x,-y,z'
'-x,y,z'
'x,-y,z'
loop_
_atom_site_label
_atom_site_fract_x
_atom_site_fract_y
_atom_site_fract_z
_atom_site_occupancy
Mn1 0.000 0.000 0.000 1
Sn1 0.000 0.000 0.471 1
Ir1 0.500 0.500 0.709 1
S1 0.500 0.500 0.089 1
```

Top 12 peaks for 2θ from 10° to 90°, in order of falling intensity:
| index | Position (°2θ) | intensity |
| --- | --- | --- |
| 1 1 0 | 38.6 | 1000 |
| 0 0 1 | 14.3 | 891 |
| 0 1 2 | 39.6 | 762 |
| 1 0 2 | 40.4 | 723 |
| 0 1 1 | 30.2 | 441 |
| 1 0 1 | 31.2 | 407 |
| 0 0 4 | 59.9 | 295 |
| 1 1 1 | 41.4 | 290 |
| 1 2 2 | 70.0 | 287 |
| 2 1 2 | 71.6 | 270 |
| 1 1 4 | 73.5 | 192 |
| 0 2 0 | 54.5 | 182 |

***

Entry 4:
ThMgF6: simulated powder XRD pattern (Cu Kα, 1.54184 Å), based on the GGA-PBE geometry in Alexandria.
Neutral-atom scattering factors, no anomalous dispersion.

Atomic structure:
```
data_ThMgF6
_chemical_formula_sum 'Th2 Mg2 F12'
_cell_length_a 5.4494
_cell_length_b 5.4494
_cell_length_c 10.1799
_cell_angle_alpha 90.00
_cell_angle_beta 90.00
_cell_angle_gamma 120.00
_space_group_name_H-M_alt 'P -3 1 c'
_space_group_IT_number 163
_space_group_name_Hall '-P 3 2c'
loop_
_atom_site_label
_atom_site_fract_x
_atom_site_fract_y
_atom_site_fract_z
_atom_site_occupancy
Th1 0.0000 0.0000 0.0000 1
Mg1 0.3333 0.6667 0.2500 1
F1 0.0546 0.3569 0.1308 1
```

Top 12 peaks for 2θ from 10° to 90°, in order of falling intensity:
| index | Position (°2θ) | intensity |
| --- | --- | --- |
| 1 0 2 | 25.7 | 1000 |
| 1 0 0 | 18.8 | 823 |
| 2 -1 2 | 37.4 | 336 |
| 1 1 4 | 49.0 | 286 |
| 2 0 2 | 42.2 | 277 |
| 2 1 2 | 54.5 | 263 |
| 0 0 2 | 17.4 | 258 |
| 1 0 4 | 40.3 | 249 |
| 1 1 0 | 32.9 | 181 |
| 2 1 0 | 51.2 | 138 |
| 3 -1 6 | 77.7 | 135 |
| 2 0 0 | 38.1 | 132 |